No. 1
For Na2Nb4O11, a structure optimized by DFT (PBE) gives the theoretical powder diffraction line list in this record (copper Kα).
Intensities are scaled so that the largest is 100.

Top 8 peaks for 2θ from 10° to 90°, in order of rising 2θ:
14.26°, 6.210 Å, I 56; 16.91°, 5.242 Å, I 50; 28.75°, 3.105 Å, I 53; 29.21°, 3.057 Å, I 100; 31.82°, 2.812 Å, I 86; 50.09°, 1.821 Å, I 41; 52.91°, 1.731 Å, I 31; 58.79°, 1.571 Å, I 36

abc: 12.9425 12.9425 12.9425
angles: 28.21 28.21 28.21
Sites, in units of the cell vectors:
1 Na 0.1675 0.1675 0.1675
2 Na 0.3325 0.3325 0.3325
3 Na 0.6675 0.6675 0.6675
4 Na 0.8325 0.8325 0.8325
5 Nb 0.0000 0.0000 0.0000
6 Nb 0.1128 0.7500 0.3872
7 Nb 0.2500 0.6128 0.8872
8 Nb 0.3872 0.1128 0.7500
9 Nb 0.5000 0.5000 0.5000
10 Nb 0.6128 0.8872 0.2500
11 Nb 0.7500 0.3872 0.1128
12 Nb 0.8872 0.2500 0.6128
13 O 0.0031 0.4969 0.2500
14 O 0.0628 0.7550 0.2772
15 O 0.0952 0.0952 0.0952
16 O 0.2228 0.7450 0.4372
17 O 0.2450 0.7228 0.9372
18 O 0.2500 0.0031 0.4969
19 O 0.2550 0.5628 0.7772
20 O 0.2772 0.0628 0.7550
21 O 0.4048 0.4048 0.4048
22 O 0.4372 0.2228 0.7450
23 O 0.4969 0.2500 0.0031
24 O 0.5031 0.7500 0.9969
25 O 0.5628 0.7772 0.2550
26 O 0.5952 0.5952 0.5952
27 O 0.7228 0.9372 0.2450
28 O 0.7450 0.4372 0.2228
29 O 0.7500 0.9969 0.5031
30 O 0.7550 0.2772 0.0628
31 O 0.7772 0.2550 0.5628
32 O 0.9048 0.9048 0.9048
33 O 0.9372 0.2450 0.7228
34 O 0.9969 0.5031 0.7500

---

No. 2
For NbCu6O8, a structure optimized by DFT (PBE) gives the theoretical powder diffraction line list in this record (copper Kα).
Intensities are scaled so that the largest is 100.

Top 8 peaks for 2θ from 10° to 90°, in order of rising 2θ:
16.52°, 5.366 Å, I 42; 33.40°, 2.683 Å, I 100; 38.76°, 2.323 Å, I 28; 42.39°, 2.132 Å, I 14; 55.97°, 1.643 Å, I 46; 58.78°, 1.571 Å, I 6; 66.77°, 1.401 Å, I 36; 70.16°, 1.341 Å, I 7

abc: 6.5716 6.5716 6.5716
angles: 60.00 60.00 60.00
Sites, in units of the cell vectors:
1 Nb 0.0000 0.0000 0.0000
2 Cu 0.0000 0.0000 0.5000
3 Cu 0.0000 0.5000 0.0000
4 Cu 0.0000 0.5000 0.5000
5 Cu 0.5000 0.0000 0.0000
6 Cu 0.5000 0.0000 0.5000
7 Cu 0.5000 0.5000 0.0000
8 O 0.1354 0.1354 0.1354
9 O 0.1354 0.1354 0.5937
10 O 0.1354 0.5937 0.1354
11 O 0.4063 0.8646 0.8646
12 O 0.5937 0.1354 0.1354
13 O 0.8646 0.4063 0.8646
14 O 0.8646 0.8646 0.4063
15 O 0.8646 0.8646 0.8646

---

No. 3
For Ca3B6Rh8, a structure optimized by DFT (PBE) gives the theoretical powder diffraction line list in this record (copper Kα).
Intensities are scaled so that the largest is 100.

Top 8 peaks for 2θ from 10° to 90°, in order of rising 2θ:
18.08°, 4.907 Å, I 36; 31.32°, 2.856 Å, I 41; 32.02°, 2.795 Å, I 28; 36.40°, 2.468 Å, I 31; 36.62°, 2.454 Å, I 52; 37.21°, 2.416 Å, I 100; 48.94°, 1.861 Å, I 29; 49.41°, 1.845 Å, I 55

abc: 9.8728 9.0054 5.6381
angles: 81.27 64.37 34.36
Sites, in units of the cell vectors:
1 Ca 0.0000 0.0000 0.0000
2 Ca 0.1821 0.1821 0.8179
3 Ca 0.8179 0.8179 0.1821
4 B 0.1687 0.4890 0.5110
5 B 0.3336 0.6664 0.3336
6 B 0.4890 0.1687 0.8313
7 B 0.5110 0.8313 0.1687
8 B 0.6664 0.3336 0.6664
9 B 0.8313 0.5110 0.4890
10 Rh 0.0848 0.0848 0.4152
11 Rh 0.2500 0.2500 0.2500
12 Rh 0.4135 0.4135 0.5865
13 Rh 0.4152 0.4152 0.0848
14 Rh 0.5848 0.5848 0.9152
15 Rh 0.5865 0.5865 0.4135
16 Rh 0.7500 0.7500 0.7500
17 Rh 0.9152 0.9152 0.5848

---

No. 4
For AlIn2N3, a structure optimized by DFT (PBE) gives the theoretical powder diffraction line list in this record (copper Kα).
Intensities are scaled so that the largest is 100.

Top 8 peaks for 2θ from 10° to 90°, in order of rising 2θ:
17.24°, 5.144 Å, I 18; 23.70°, 3.754 Å, I 27; 30.12°, 2.967 Å, I 40; 32.56°, 2.750 Å, I 34; 34.34°, 2.612 Å, I 100; 44.94°, 2.017 Å, I 20; 53.53°, 1.712 Å, I 18; 59.24°, 1.560 Å, I 28

abc: 5.9398 5.9398 5.5000
angles: 90.00 90.00 59.84
Sites, in units of the cell vectors:
1 Al 0.1588 0.8412 0.5000
2 Al 0.8412 0.1588 0.0000
3 In 0.1646 0.5117 0.9979
4 In 0.4883 0.8354 0.9979
5 In 0.5117 0.1646 0.4979
6 In 0.8354 0.4883 0.4979
7 N 0.1314 0.8686 0.8480
8 N 0.1670 0.5311 0.3964
9 N 0.4689 0.8330 0.3964
10 N 0.5311 0.1670 0.8964
11 N 0.8330 0.4689 0.8964
12 N 0.8686 0.1314 0.3480

---

No. 5
For MgZn4Sn4O8, a structure optimized by DFT (PBE) gives the theoretical powder diffraction line list in this record (copper Kα).
Intensities are scaled so that the largest is 100.

Top 8 peaks for 2θ from 10° to 90°, in order of rising 2θ:
19.41°, 4.572 Å, I 97; 29.41°, 3.037 Å, I 87; 32.58°, 2.748 Å, I 78; 32.73°, 2.736 Å, I 100; 32.96°, 2.717 Å, I 94; 35.89°, 2.502 Å, I 53; 36.02°, 2.494 Å, I 56; 54.16°, 1.693 Å, I 39

abc: 3.3868 9.2437 9.4961
angles: 81.67 79.85 89.56
Sites, in units of the cell vectors:
1 Mg 0.0000 0.0000 0.0000
2 Zn 0.1794 0.6704 0.5872
3 Zn 0.5766 0.2713 0.8302
4 Zn 0.7714 0.4384 0.4179
5 Zn 0.9578 0.4654 0.0481
6 Sn 0.1938 0.1272 0.5956
7 Sn 0.3511 0.7460 0.2414
8 Sn 0.3846 0.1816 0.2131
9 Sn 0.5497 0.7459 0.8469
10 O 0.0553 0.6028 0.8409
11 O 0.0825 0.1488 0.8229
12 O 0.2644 0.5548 0.4267
13 O 0.4793 0.3526 0.0108
14 O 0.6599 0.7608 0.6234
15 O 0.6880 0.2820 0.6017
16 O 0.8598 0.3250 0.2547
17 O 0.8962 0.6425 0.1534

---

No. 6
For SmAl, a structure optimized by DFT (PBE) gives the theoretical powder diffraction line list in this record (copper Kα).
Intensities are scaled so that the largest is 100.

Top 8 peaks for 2θ from 10° to 90°, in order of rising 2θ:
21.33°, 4.165 Å, I 34; 26.49°, 3.365 Å, I 37; 31.34°, 2.854 Å, I 49; 31.62°, 2.829 Å, I 100; 34.48°, 2.601 Å, I 31; 34.91°, 2.570 Å, I 86; 38.23°, 2.354 Å, I 32; 57.23°, 1.610 Å, I 25

abc: 5.9388 11.6877 5.7081
angles: 90.00 90.00 90.00
Sites, in units of the cell vectors:
1 Sm 0.0964 0.1668 0.2500
2 Sm 0.0964 0.3332 0.7500
3 Sm 0.3370 0.0127 0.7500
4 Sm 0.3370 0.4873 0.2500
5 Sm 0.6630 0.5127 0.7500
6 Sm 0.6630 0.9873 0.2500
7 Sm 0.9036 0.6668 0.2500
8 Sm 0.9036 0.8332 0.7500
9 Al 0.1650 0.6005 0.7500
10 Al 0.1650 0.8995 0.2500
11 Al 0.4297 0.7500 0.0000
12 Al 0.4297 0.7500 0.5000
13 Al 0.5703 0.2500 0.0000
14 Al 0.5703 0.2500 0.5000
15 Al 0.8350 0.1005 0.7500
16 Al 0.8350 0.3995 0.2500

---

No. 7
For Rb2MnFeC6N6, a structure optimized by DFT (PBE) gives the theoretical powder diffraction line list in this record (copper Kα).
Intensities are scaled so that the largest is 100.

Top 8 peaks for 2θ from 10° to 90°, in order of rising 2θ:
25.08°, 3.550 Å, I 100; 30.84°, 2.899 Å, I 16; 35.77°, 2.511 Å, I 42; 44.18°, 2.050 Å, I 31; 51.48°, 1.775 Å, I 21; 58.09°, 1.588 Å, I 27; 70.13°, 1.342 Å, I 24; 81.29°, 1.183 Å, I 10

abc: 7.1009 7.1009 7.1009
angles: 60.00 60.00 60.00
Sites, in units of the cell vectors:
1 Rb 0.2500 0.2500 0.2500
2 Rb 0.7500 0.7500 0.7500
3 Mn 0.0000 0.0000 0.0000
4 Fe 0.5000 0.5000 0.5000
5 C 0.3119 0.3119 0.6881
6 C 0.3119 0.6881 0.3119
7 C 0.3119 0.6881 0.6881
8 C 0.6881 0.3119 0.3119
9 C 0.6881 0.3119 0.6881
10 C 0.6881 0.6881 0.3119
11 N 0.1940 0.1940 0.8060
12 N 0.1940 0.8060 0.1940
13 N 0.1940 0.8060 0.8060
14 N 0.8060 0.1940 0.1940
15 N 0.8060 0.1940 0.8060
16 N 0.8060 0.8060 0.1940

---

No. 8
For SrSiO3, a structure optimized by DFT (PBE) gives the theoretical powder diffraction line list in this record (copper Kα).
Intensities are scaled so that the largest is 100.

Top 8 peaks for 2θ from 10° to 90°, in order of rising 2θ:
20.06°, 4.426 Å, I 100; 24.48°, 3.636 Å, I 36; 24.71°, 3.603 Å, I 48; 28.65°, 3.116 Å, I 18; 31.75°, 2.818 Å, I 28; 31.86°, 2.808 Å, I 27; 32.31°, 2.770 Å, I 30; 40.69°, 2.217 Å, I 29

abc: 4.4258 10.9024 7.6368
angles: 90.00 91.07 90.00
Sites, in units of the cell vectors:
1 Sr 0.0000 0.0345 0.0000
2 Sr 0.0000 0.9655 0.5000
3 Sr 0.9301 0.3884 0.7450
4 Sr 0.9301 0.6116 0.2450
5 Si 0.0379 0.2817 0.2329
6 Si 0.0379 0.7183 0.7329
7 Si 0.4558 0.1536 0.7052
8 Si 0.4558 0.8464 0.2052
9 O 0.0892 0.1465 0.3030
10 O 0.0892 0.8535 0.8030
11 O 0.2461 0.4012 0.3196
12 O 0.2461 0.5988 0.8196
13 O 0.4239 0.2996 0.6912
14 O 0.4239 0.7004 0.1912
15 O 0.8193 0.1147 0.7121
16 O 0.8193 0.8853 0.2121
17 O 0.8860 0.3921 0.3690
18 O 0.8860 0.6079 0.8690
19 O 0.9440 0.2908 0.0326
20 O 0.9440 0.7092 0.5326

---

No. 9
For Co23B6, a structure optimized by DFT (PBE) gives the theoretical powder diffraction line list in this record (copper Kα).
Intensities are scaled so that the largest is 100.

Top 8 peaks for 2θ from 10° to 90°, in order of rising 2θ:
38.59°, 2.333 Å, I 22; 42.45°, 2.130 Å, I 30; 45.16°, 2.008 Å, I 100; 49.42°, 1.844 Å, I 21; 51.84°, 1.764 Å, I 26; 52.64°, 1.739 Å, I 14; 77.66°, 1.230 Å, I 20; 79.57°, 1.205 Å, I 13

abc: 7.3774 7.3774 7.3774
angles: 60.00 60.00 60.00
Sites, in units of the cell vectors:
1 Co 0.0000 0.0000 0.0000
2 Co 0.0000 0.0000 0.3376
3 Co 0.0000 0.0000 0.6624
4 Co 0.0000 0.3376 0.0000
5 Co 0.0000 0.3376 0.6624
6 Co 0.0000 0.6624 0.0000
7 Co 0.0000 0.6624 0.3376
8 Co 0.1403 0.6199 0.6199
9 Co 0.2500 0.2500 0.2500
10 Co 0.3376 0.0000 0.0000
11 Co 0.3376 0.0000 0.6624
12 Co 0.3376 0.6624 0.0000
13 Co 0.3801 0.3801 0.3801
14 Co 0.3801 0.3801 0.8597
15 Co 0.3801 0.8597 0.3801
16 Co 0.6199 0.1403 0.6199
17 Co 0.6199 0.6199 0.1403
18 Co 0.6199 0.6199 0.6199
19 Co 0.6624 0.0000 0.0000
20 Co 0.6624 0.0000 0.3376
21 Co 0.6624 0.3376 0.0000
22 Co 0.7500 0.7500 0.7500
23 Co 0.8597 0.3801 0.3801
24 B 0.2762 0.2762 0.7238
25 B 0.2762 0.7238 0.2762
26 B 0.2762 0.7238 0.7238
27 B 0.7238 0.2762 0.2762
28 B 0.7238 0.2762 0.7238
29 B 0.7238 0.7238 0.2762

---

No. 10
For LuSeO3F, a structure optimized by DFT (PBE) gives the theoretical powder diffraction line list in this record (copper Kα).
Intensities are scaled so that the largest is 100.

Top 8 peaks for 2θ from 10° to 90°, in order of rising 2θ:
13.71°, 6.457 Å, I 28; 20.88°, 4.254 Å, I 100; 23.65°, 3.762 Å, I 43; 25.90°, 3.440 Å, I 80; 30.10°, 2.969 Å, I 47; 31.07°, 2.879 Å, I 47; 32.30°, 2.772 Å, I 24; 49.70°, 1.835 Å, I 43

abc: 4.2928 6.5055 6.9001
angles: 91.83 93.79 96.64
Sites, in units of the cell vectors:
1 Lu 0.0396 0.1316 0.2554
2 Lu 0.9604 0.8684 0.7446
3 Se 0.1802 0.3585 0.7723
4 Se 0.8198 0.6415 0.2277
5 O 0.0122 0.1791 0.9310
6 O 0.0962 0.4779 0.2656
7 O 0.1007 0.1750 0.5794
8 O 0.8993 0.8250 0.4206
9 O 0.9038 0.5221 0.7344
10 O 0.9878 0.8209 0.0690
11 F 0.4596 0.8505 0.7550
12 F 0.5404 0.1495 0.2450